For CdCoAsHO5, a crystal structure in OQMD, relaxed with GGA+U gives the theoretical powder diffractogram in this record (copper Kα).

The 10 most intense peaks (5° ≤ 2θ ≤ 70°), low angle first:
2theta  I_rel
21.42  39
27.92  100
29.60  26
32.92  53
33.59  56
34.76  45
36.20  66
50.26  18
57.22  37
62.56  20

Structural model:
abc: 7.5341 6.0352 8.7542
angles: 90.00 90.00 90.00
Space group Pnma (No. 62)
One atom of each set of equivalent atoms:
Cd (0.1293, 0.2500, 0.1741) (multiplicity 4)
Co (0.0000, 0.0000, 0.5000) (multiplicity 4)
As (0.1284, 0.2500, 0.8254) (multiplicity 4)
H (0.2323, 0.7500, 0.9656) (multiplicity 4)
O (0.0387, 0.7500, 0.0419) (multiplicity 4)
O (0.1202, 0.0105, 0.7183) (multiplicity 8)
O (0.1450, 0.2500, 0.4232) (multiplicity 4)
O (0.1860, 0.7500, 0.4432) (multiplicity 4)